Record 1
For MgTl2Pb, the GGA-PBE geometry in Alexandria gives the calculated PXRD pattern in this record (Cu Ka).
Peak positions follow from Bragg's law for the DFT cell and can differ from measured ones.

Main lines, most intense first (2θ from 15° to 90°):
33.6 deg, I 100.0; 31.6 deg, I 29.2; 31.8 deg, I 28.9; 15.7 deg, I 23.1; 57.6 deg, I 21.9; 45.4 deg, I 21.9; 57.8 deg, I 21.7; 61.2 deg, I 18.3; 70.6 deg, I 12.1; 22.3 deg, I 11.0

Structural model:
a b c (Å): 3.588 5.634 5.655
angles (deg): 90.00 90.00 90.00
Positions (direct):
Mg (0.000, 0.000, 0.000)
Tl (0.000, 0.500, 0.500)
Tl (0.500, 0.500, 0.000)
Pb (0.500, 0.000, 0.500)

***

Record 2
For Mg3Tl2Pb2, the GGA-PBE geometry in Alexandria gives the calculated PXRD pattern in this record (Cu Ka).
Peak positions follow from Bragg's law for the DFT cell and can differ from measured ones.

Main lines, most intense first (2θ from 15° to 90°):
27.5 deg, I 100.0; 30.8 deg, I 98.1; 36.6 deg, I 76.1; 50.7 deg, I 62.8; 23.7 deg, I 61.9; 62.3 deg, I 42.1; 44.1 deg, I 36.4; 33.8 deg, I 34.0; 48.6 deg, I 28.4; 76.2 deg, I 23.5

Structural model:
a b c (Å): 7.954 7.954 7.954
angles (deg): 109.47 109.47 109.47
Positions (direct):
Mg (0.213, 0.963, 0.250)
Mg (0.250, 0.213, 0.963)
Mg (0.287, 0.537, 0.750)
Mg (0.537, 0.750, 0.287)
Mg (0.750, 0.287, 0.537)
Mg (0.963, 0.250, 0.213)
Tl (0.000, 0.662, 0.500)
Tl (0.500, 0.000, 0.662)
Tl (0.662, 0.500, 0.000)
Tl (0.838, 0.838, 0.838)
Pb (0.000, 0.060, 0.500)
Pb (0.060, 0.500, 0.000)
Pb (0.440, 0.440, 0.440)
Pb (0.500, 0.000, 0.060)

***

Record 3
For Mg10Tl6Pb, the GGA-PBE geometry in Alexandria gives the calculated PXRD pattern in this record (Cu Ka).
Peak positions follow from Bragg's law for the DFT cell and can differ from measured ones.

Main lines, most intense first (2θ from 15° to 90°):
35.1 deg, I 100.0; 24.6 deg, I 94.8; 34.1 deg, I 31.3; 45.0 deg, I 23.0; 23.2 deg, I 20.3; 63.0 deg, I 18.0; 48.2 deg, I 17.9; 52.0 deg, I 17.8; 43.4 deg, I 16.1; 66.2 deg, I 15.2

Structural model:
a b c (Å): 8.855 8.855 6.262
angles (deg): 90.00 90.00 120.00
Positions (direct):
Mg (0.000, 0.282, 0.203)
Mg (0.000, 0.718, 0.797)
Mg (0.282, 0.000, 0.203)
Mg (0.282, 0.282, 0.797)
Mg (0.333, 0.667, 0.000)
Mg (0.333, 0.667, 0.500)
Mg (0.667, 0.333, 0.000)
Mg (0.667, 0.333, 0.500)
Mg (0.718, 0.000, 0.797)
Mg (0.718, 0.718, 0.203)
Tl (0.000, 0.376, 0.730)
Tl (0.000, 0.624, 0.270)
Tl (0.376, 0.000, 0.730)
Tl (0.376, 0.376, 0.270)
Tl (0.624, 0.000, 0.270)
Tl (0.624, 0.624, 0.730)
Pb (0.000, 0.000, 0.500)

***

Record 4
For Mg15Tl2Pb2, the GGA-PBE geometry in Alexandria gives the calculated PXRD pattern in this record (Cu Ka).
Peak positions follow from Bragg's law for the DFT cell and can differ from measured ones.

Main lines, most intense first (2θ from 15° to 90°):
19.0 deg, I 100.0; 33.2 deg, I 68.4; 31.6 deg, I 57.2; 25.0 deg, I 51.8; 37.1 deg, I 36.0; 38.6 deg, I 27.8; 46.5 deg, I 24.6; 36.0 deg, I 23.0; 59.4 deg, I 22.4; 51.8 deg, I 16.9

Structural model:
a b c (Å): 8.527 8.527 8.527
angles (deg): 66.41 66.41 66.41
Positions (direct):
Mg (0.000, 0.000, 0.500)
Mg (0.000, 0.313, 0.687)
Mg (0.000, 0.500, 0.000)
Mg (0.000, 0.687, 0.313)
Mg (0.199, 0.571, 0.571)
Mg (0.313, 0.000, 0.687)
Mg (0.313, 0.687, 0.000)
Mg (0.429, 0.429, 0.801)
Mg (0.429, 0.801, 0.429)
Mg (0.500, 0.000, 0.000)
Mg (0.571, 0.199, 0.571)
Mg (0.571, 0.571, 0.199)
Mg (0.687, 0.000, 0.313)
Mg (0.687, 0.313, 0.000)
Mg (0.801, 0.429, 0.429)
Tl (0.292, 0.292, 0.292)
Tl (0.708, 0.708, 0.708)
Pb (0.084, 0.084, 0.084)
Pb (0.916, 0.916, 0.916)

***

Record 5
For Mg2Tl2Pb7, the GGA-PBE geometry in Alexandria gives the calculated PXRD pattern in this record (Cu Ka).
Peak positions follow from Bragg's law for the DFT cell and can differ from measured ones.

Main lines, most intense first (2θ from 15° to 90°):
32.7 deg, I 100.0; 30.9 deg, I 63.0; 28.1 deg, I 43.6; 29.8 deg, I 38.0; 35.7 deg, I 23.7; 56.1 deg, I 22.6; 33.5 deg, I 21.6; 37.1 deg, I 21.2; 39.0 deg, I 18.3; 47.9 deg, I 16.0

Structural model:
a b c (Å): 7.677 7.677 6.232
angles (deg): 104.17 104.17 97.92
Positions (direct):
Mg (0.250, 0.750, 0.000)
Mg (0.750, 0.250, 0.000)
Tl (0.102, 0.102, 0.311)
Tl (0.898, 0.898, 0.689)
Pb (0.078, 0.577, 0.313)
Pb (0.318, 0.318, 0.921)
Pb (0.423, 0.922, 0.687)
Pb (0.500, 0.500, 0.500)
Pb (0.577, 0.078, 0.313)
Pb (0.682, 0.682, 0.079)
Pb (0.922, 0.423, 0.687)

***

Record 6
For Mg5TlPb, the GGA-PBE geometry in Alexandria gives the calculated PXRD pattern in this record (Cu Ka).
Peak positions follow from Bragg's law for the DFT cell and can differ from measured ones.

Main lines, most intense first (2θ from 15° to 90°):
21.7 deg, I 100.0; 35.9 deg, I 74.1; 27.2 deg, I 64.3; 27.3 deg, I 42.0; 15.2 deg, I 37.9; 36.6 deg, I 34.7; 29.6 deg, I 30.8; 21.6 deg, I 26.6; 41.6 deg, I 23.9; 24.5 deg, I 20.7

Structural model:
a b c (Å): 7.842 7.842 6.230
angles (deg): 103.73 103.73 95.91
Positions (direct):
Mg (0.118, 0.882, 0.750)
Mg (0.238, 0.271, 0.130)
Mg (0.271, 0.238, 0.630)
Mg (0.350, 0.615, 0.987)
Mg (0.385, 0.650, 0.513)
Mg (0.615, 0.350, 0.487)
Mg (0.650, 0.385, 0.013)
Mg (0.729, 0.762, 0.370)
Mg (0.762, 0.729, 0.870)
Mg (0.882, 0.118, 0.250)
Tl (0.000, 0.500, 0.500)
Tl (0.500, 0.000, 0.000)
Pb (0.142, 0.858, 0.250)
Pb (0.858, 0.142, 0.750)